For PrCO3, a DFT-relaxed cell (PBE, Alexandria) gives the computed powder X-ray diffraction pattern in this record (Cu Kα (λ = 1.5418 Å)).
Lines closer than 0.1° are merged.

Atomic structure:
a b c (Å): 4.2194 5.0118 5.8153
angles (deg): 90.00 104.37 90.00
Space group P2_1/m (No. 11)
Unique sites:
1 Pr 0.1633 0.2500 0.2658 (multiplicity 2)
2 C 0.4372 0.2500 0.7988 (multiplicity 2)
3 O 0.2255 0.7500 0.1273 (multiplicity 2)
4 O 0.3146 0.0224 0.6785 (multiplicity 4)

Principal peaks in the range 15 to 90 degrees two-theta, in order of falling intensity:
2theta, I_rel, index
23.8, 100, 0 1 1
28.2, 66, 1 1 0
31.8, 55, 0 0 2
29.6, 53, 1 1 -1
23.5, 38, 1 0 -1
43.3, 35, 1 2 -1
47.4, 34, 1 2 1
51.6, 33, 2 1 -2
38.5, 28, 1 1 -2
35.8, 26, 0 2 0